[1]
CaMo2O4: simulated powder diffractogram (λ = 1.5418 Å (Cu Kα)), based on a structure optimized by DFT (PBE+U).
Peak positions follow from Bragg's law for the DFT cell and can differ from measured ones.

abc: 14.222 3.323 9.842
angles: 90.00 125.07 90.00
Space group C2/m (No. 12)
Asymmetric unit:
Ca 0.160 0.000 0.177 x4
Mo 0.137 0.000 0.831 x4
Mo 0.138 0.500 0.471 x4
O 0.046 0.000 0.303 x4
O 0.132 0.500 0.692 x4
O 0.165 0.500 0.008 x4
O 0.241 0.500 0.375 x4

Principal peaks in the range 2θ from 15° to 90°, most intense first:
| 2θ/deg | I (rel.) | hkl |
| --- | --- | --- |
| 33.0 | 100.0 | 3 1 -1 |
| 30.7 | 73.4 | 4 0 0 |
| 31.7 | 54.1 | 1 1 1 |
| 18.2 | 52.7 | 2 0 -2 |
| 46.0 | 49.4 | 3 1 -4 |
| 29.6 | 48.2 | 4 0 -3 |
| 38.6 | 46.9 | 6 0 -3 |
| 49.3 | 34.9 | 3 1 2 |
| 15.2 | 34.7 | 2 0 0 |
| 33.4 | 34.4 | 0 0 3 |

[2]
Mn3Se3O10: simulated powder diffractogram (λ = 1.5418 Å (Cu Kα)), based on a structure optimized by DFT (PBE+U).
Peak positions follow from Bragg's law for the DFT cell and can differ from measured ones.

abc: 16.117 6.802 9.940
angles: 90.00 119.31 90.00
Space group C2/m (No. 12)
Asymmetric unit:
Mn 0.117 0.000 0.085 x4
Mn 0.250 0.250 0.000 x4
Mn 0.250 0.250 0.500 x4
Se 0.031 0.000 0.333 x4
Se 0.114 0.500 0.171 x4
Se 0.140 0.500 0.673 x4
O 0.017 0.000 0.140 x4
O 0.103 0.201 0.408 x8
O 0.137 0.304 0.081 x8
O 0.150 0.299 0.786 x8
O 0.193 0.000 0.985 x4
O 0.216 0.500 0.348 x4
O 0.249 0.500 0.670 x4

Principal peaks in the range 2θ from 15° to 90°, most intense first:
| 2θ/deg | I (rel.) | hkl |
| --- | --- | --- |
| 23.9 | 100.0 | 3 1 -2 |
| 33.4 | 92.3 | 6 0 -2 |
| 23.1 | 61.4 | 3 1 0 |
| 32.0 | 47.0 | 2 2 -2 |
| 29.0 | 40.9 | 2 0 2 |
| 29.2 | 30.3 | 2 2 0 |
| 28.8 | 25.0 | 3 1 1 |
| 27.6 | 23.5 | 1 1 2 |
| 53.9 | 22.4 | 0 4 0 |
| 26.2 | 20.7 | 0 2 0 |

[3]
CoP4O12: simulated powder diffractogram (λ = 1.5418 Å (Cu Kα)), based on a structure optimized by DFT (PBE+U).
Peak positions follow from Bragg's law for the DFT cell and can differ from measured ones.

abc: 5.194 13.635 7.204
angles: 90.00 97.57 90.00
Space group P2_1 (No. 4)
Asymmetric unit:
Co 0.016 0.000 0.008 x2
P 0.286 0.586 0.386 x2
P 0.356 0.931 0.398 x2
P 0.477 0.362 0.956 x2
P 0.497 0.641 0.040 x2
O 0.102 0.518 0.267 x2
O 0.122 0.973 0.275 x2
O 0.144 0.666 0.475 x2
O 0.207 0.373 0.007 x2
O 0.233 0.125 0.007 x2
O 0.278 0.580 0.937 x2
O 0.314 0.928 0.947 x2
O 0.316 0.872 0.565 x2
O 0.417 0.753 0.001 x2
O 0.457 0.525 0.543 x2
O 0.467 0.370 0.732 x2
O 0.500 0.130 0.736 x2

Principal peaks in the range 2θ from 15° to 90°, most intense first:
| 2θ/deg | I (rel.) | hkl |
| --- | --- | --- |
| 23.8 | 100.0 | 1 2 -1 |
| 24.9 | 71.9 | 0 0 2 |
| 26.1 | 58.3 | 1 2 1 |
| 31.5 | 52.6 | 1 4 0 |
| 23.5 | 35.2 | 1 1 1 |
| 21.6 | 34.1 | 1 2 0 |
| 33.1 | 28.2 | 1 4 -1 |
| 17.2 | 27.6 | 1 0 0 |
| 53.8 | 24.9 | 2 6 0 |
| 37.8 | 23.5 | 0 0 3 |

[4]
CaMnZnAs2H3O10: simulated powder diffractogram (λ = 1.5418 Å (Cu Kα)), based on a structure optimized by DFT (PBE+U).
Peak positions follow from Bragg's law for the DFT cell and can differ from measured ones.

abc: 5.558 5.621 7.405
angles: 111.26 96.50 109.56
Space group P1 (No. 1)
Asymmetric unit:
Ca 0.000 0.000 0.000 x1
Mn 0.505 0.499 0.498 x1
Zn 0.999 0.984 0.496 x1
As 0.416 0.790 0.201 x1
As 0.585 0.207 0.797 x1
H 0.028 0.493 0.519 x1
H 0.209 0.545 0.746 x1
H 0.792 0.453 0.265 x1
O 0.169 0.444 0.590 x1
O 0.245 0.708 0.967 x1
O 0.247 0.077 0.763 x1
O 0.313 0.036 0.351 x1
O 0.323 0.494 0.252 x1
O 0.678 0.504 0.748 x1
O 0.683 0.960 0.643 x1
O 0.754 0.922 0.236 x1
O 0.755 0.287 0.030 x1
O 0.832 0.553 0.417 x1

Principal peaks in the range 2θ from 15° to 90°, most intense first:
| 2θ/deg | I (rel.) | hkl |
| --- | --- | --- |
| 30.7 | 100.0 | 1 -1 2 |
| 25.6 | 99.9 | -1 1 1 |
| 17.6 | 67.2 | 0 1 -1 |
| 27.9 | 57.5 | 1 0 -2 |
| 33.9 | 57.0 | 0 2 -1 |
| 52.7 | 52.3 | 1 -3 0 |
| 27.2 | 49.8 | 0 1 1 |
| 34.5 | 48.6 | 2 0 -1 |
| 30.5 | 37.0 | 1 1 0 |
| 31.2 | 35.8 | 1 1 -2 |

[5]
LiNiBO3: simulated powder diffractogram (λ = 1.5418 Å (Cu Kα)), based on a structure optimized by DFT (PBE+U).
Peak positions follow from Bragg's law for the DFT cell and can differ from measured ones.

abc: 5.697 5.825 7.438
angles: 90.01 90.02 95.95
Space group P-1 (No. 2)
Asymmetric unit:
Li 0.084 0.127 0.129 x2
Li 0.416 0.372 0.628 x2
Ni 0.238 0.897 0.475 x2
Ni 0.262 0.603 0.975 x2
B 0.128 0.409 0.346 x2
B 0.372 0.091 0.846 x2
O 0.051 0.473 0.177 x2
O 0.082 0.174 0.391 x2
O 0.237 0.945 0.958 x2
O 0.263 0.555 0.458 x2
O 0.418 0.326 0.891 x2
O 0.450 0.026 0.678 x2

Principal peaks in the range 2θ from 15° to 90°, most intense first:
| 2θ/deg | I (rel.) | hkl |
| --- | --- | --- |
| 19.4 | 100.0 | 0 1 1 |
| 23.9 | 87.4 | 0 0 2 |
| 40.0 | 56.9 | 2 0 2 |
| 33.5 | 51.3 | 1 1 -2 |
| 35.4 | 46.6 | -1 2 1 |
| 20.8 | 34.3 | 1 -1 0 |
| 28.7 | 28.3 | 1 0 2 |
| 31.6 | 26.9 | 2 0 0 |
| 48.2 | 22.0 | 1 -3 0 |
| 52.5 | 18.4 | 3 1 0 |

[6]
Ba6La2Co4O15: simulated powder diffractogram (λ = 1.5418 Å (Cu Kα)), based on a structure optimized by DFT (PBE+U).
Peak positions follow from Bragg's law for the DFT cell and can differ from measured ones.

abc: 12.029 20.622 7.135
angles: 90.00 91.25 90.00
Space group Cc (No. 9)
Asymmetric unit:
Ba 0.000 0.000 0.000 x4
Ba 0.232 0.413 0.166 x4
Ba 0.264 0.088 0.664 x4
Ba 0.283 0.237 0.330 x4
Ba 0.497 0.321 0.667 x4
Ba 0.499 0.166 0.978 x4
La 0.000 0.477 0.834 x4
La 0.213 0.262 0.824 x4
Co 0.235 0.413 0.666 x4
Co 0.264 0.090 0.159 x4
Co 0.492 0.324 0.165 x4
Co 0.496 0.166 0.515 x4
O 0.000 0.097 0.768 x4
O 0.000 0.415 0.165 x4
O 0.008 0.250 0.842 x4
O 0.113 0.296 0.155 x4
O 0.126 0.198 0.546 x4
O 0.129 0.379 0.837 x4
O 0.134 0.469 0.533 x4
O 0.150 0.048 0.265 x4
O 0.231 0.160 0.016 x4
O 0.266 0.339 0.542 x4
O 0.355 0.457 0.760 x4
O 0.366 0.034 0.031 x4
O 0.371 0.304 0.017 x4
O 0.373 0.209 0.682 x4
O 0.381 0.120 0.343 x4

Principal peaks in the range 2θ from 15° to 90°, most intense first:
| 2θ/deg | I (rel.) | hkl |
| --- | --- | --- |
| 29.9 | 100.0 | 2 6 0 |
| 29.7 | 51.0 | 4 0 0 |
| 29.3 | 23.2 | 2 0 2 |
| 30.1 | 22.9 | 2 2 -2 |
| 30.7 | 21.4 | 2 2 2 |
| 30.5 | 20.9 | 0 4 2 |
| 36.5 | 20.8 | 3 3 2 |
| 28.8 | 19.1 | 2 0 -2 |
| 35.8 | 18.6 | 3 3 -2 |
| 36.3 | 17.2 | 0 6 2 |